Record 1
# SnH2Rh4
Calculated X-ray diffraction stick pattern, λ = 1.5418 Å (Cu Kα). Input: the PBE geometry in Alexandria.
Lines closer than 0.1° are merged.

Atomic structure:
```
14
Lattice="4.887 0.000 0.000 -1.052 4.896 0.000 -1.546 -2.593 6.883" Properties=species:S:1:pos:R:3 pbc="T T T"
Sn 0.000 0.000 0.000
Sn 0.551 3.497 3.385
H -1.577 0.466 5.381
H 0.736 0.544 4.702
H 1.709 1.774 1.948
H 1.947 3.374 0.092
Rh -0.894 -1.016 4.731
Rh -0.134 0.834 2.744
Rh 0.557 2.557 0.678
Rh -0.181 1.846 5.475
Rh 2.438 0.321 1.322
Rh 1.528 -0.392 6.184
Rh 2.342 1.230 3.998
Rh 3.067 3.053 2.048
```

Most intense lines, 2θ = 5–70°, in order of rising 2θ:
Position (°2θ), I/Imax
38.54, 100
38.68, 49
38.79, 49
43.47, 35
44.88, 33
46.36, 29
64.17, 11
64.34, 11
65.15, 10
66.56, 10



Record 2
# RbNaTlCl6
Calculated X-ray diffraction stick pattern, λ = 1.5418 Å (Cu Kα). Input: the PBE geometry in Alexandria.
Lines closer than 0.1° are merged.

Atomic structure:
```
9
Lattice="6.401 -2.726 0.000 6.401 2.726 0.000 -0.459 0.000 8.109" Properties=species:S:1:pos:R:3 pbc="T T T"
Rb 0.000 0.000 0.000
Na 8.747 0.000 5.423
Tl 4.787 0.000 3.750
Cl 2.758 1.354 7.817
Cl 2.347 0.000 4.009
Cl 2.758 -1.354 7.817
Cl 6.044 0.000 5.939
Cl 6.523 0.000 2.035
Cl 11.064 0.000 3.859
```

Most intense lines, 2θ = 5–70°, in order of rising 2θ:
Position (°2θ), I/Imax
10.91, 44
13.86, 72
17.69, 48
18.15, 60
20.62, 100
21.04, 64
21.92, 70
28.62, 35
29.46, 53
34.73, 36



Record 3
# Pm4N3
Calculated X-ray diffraction stick pattern, λ = 1.5418 Å (Cu Kα). Input: the PBE geometry in Alexandria.
Lines closer than 0.1° are merged.

Atomic structure:
```
7
Lattice="5.104 0.000 0.000 0.000 5.104 0.000 0.000 0.000 5.104" Properties=species:S:1:pos:R:3 pbc="T T T"
Pm 0.000 0.000 0.000
Pm 0.000 2.552 2.552
Pm 2.552 0.000 2.552
Pm 2.552 2.552 0.000
N 0.000 0.000 2.552
N 0.000 2.552 0.000
N 2.552 0.000 0.000
```

Most intense lines, 2θ = 5–70°, in order of rising 2θ:
Position (°2θ), I/Imax
30.33, 100
35.16, 67
50.58, 47
60.12, 45
63.09, 16



Record 4
# Tm2Sc2Hg
Calculated X-ray diffraction stick pattern, λ = 1.5418 Å (Cu Kα). Input: the PBE geometry in Alexandria.
Lines closer than 0.1° are merged.

Atomic structure:
```
10
Lattice="-2.421 2.421 11.958 2.421 -2.421 11.958 2.421 2.421 -11.958" Properties=species:S:1:pos:R:3 pbc="T T T"
Tm 2.421 1.211 -4.777
Tm 0.000 1.211 1.202
Tm 2.421 1.211 10.756
Tm 0.000 1.211 16.735
Sc 2.421 1.211 -1.189
Sc 0.000 1.211 4.790
Sc 2.421 1.211 7.168
Sc 0.000 1.211 13.147
Hg 2.421 -1.211 8.968
Hg 0.000 3.632 2.989
```

Most intense lines, 2θ = 5–70°, in order of rising 2θ:
Position (°2θ), I/Imax
18.69, 59
26.19, 39
34.53, 100
37.13, 44
41.88, 16
45.75, 11
46.00, 18
53.52, 15
60.13, 16
65.27, 31



Record 5
# La4I5Br2
Calculated X-ray diffraction stick pattern, λ = 1.5418 Å (Cu Kα). Input: the PBE geometry in Alexandria.
Lines closer than 0.1° are merged.

Atomic structure:
```
11
Lattice="10.331 -2.072 0.000 10.331 2.072 0.000 -2.036 0.000 11.712" Properties=species:S:1:pos:R:3 pbc="T T T"
La 0.079 0.000 2.485
La 5.717 0.000 5.612
La 12.909 0.000 6.100
La 18.546 0.000 9.228
I 1.153 0.000 8.365
I 3.211 0.000 3.478
I 10.331 0.000 0.000
I 15.415 0.000 8.234
I 17.472 0.000 3.347
Br 8.328 0.000 7.110
Br 10.298 0.000 4.602
```

Most intense lines, 2θ = 5–70°, in order of rising 2θ:
Position (°2θ), I/Imax
7.55, 95
8.69, 24
10.49, 41
26.27, 100
27.14, 46
28.29, 25
28.62, 31
32.60, 58
35.74, 34
36.18, 37



Record 6
# Na2Cd5In
Calculated X-ray diffraction stick pattern, λ = 1.5418 Å (Cu Kα). Input: the PBE geometry in Alexandria.
Lines closer than 0.1° are merged.

Atomic structure:
```
8
Lattice="-3.245 3.245 4.549 3.245 -3.245 4.549 3.245 3.245 -4.549" Properties=species:S:1:pos:R:3 pbc="T T T"
Na 3.245 0.000 0.000
Na 0.000 3.245 0.000
Cd 1.620 1.620 6.825
Cd -1.620 1.620 6.825
Cd 0.000 0.000 4.543
Cd 1.620 -1.620 6.825
Cd 1.626 1.626 2.276
In 0.000 0.000 0.011
```

Most intense lines, 2θ = 5–70°, in order of rising 2θ:
Position (°2θ), I/Imax
19.34, 12
19.51, 6
27.61, 10
33.93, 100
39.26, 33
39.63, 16
56.74, 11
57.01, 21
67.78, 25
68.27, 12



Record 7
# Tl7Te3Cl
Calculated X-ray diffraction stick pattern, λ = 1.5418 Å (Cu Kα). Input: the PBE geometry in Alexandria.
Lines closer than 0.1° are merged.

Atomic structure:
```
22
Lattice="7.718 -6.020 0.000 7.718 6.020 0.000 0.000 0.000 9.879" Properties=species:S:1:pos:R:3 pbc="T T T"
Tl 5.910 3.076 0.440
Tl 5.910 3.076 4.499
Tl 7.718 4.360 7.410
Tl 5.478 0.181 7.410
Tl 9.526 3.076 0.440
Tl 9.526 3.076 4.499
Tl 5.478 -0.181 2.470
Tl 9.957 0.181 7.410
Tl 5.910 -3.076 5.380
Tl 5.910 -3.076 9.439
Tl 9.957 -0.181 2.470
Tl 7.718 -4.360 2.470
Tl 9.526 -3.076 5.380
Tl 9.526 -3.076 9.439
Te 4.376 3.357 7.410
Te 11.059 3.357 7.410
Te 7.718 0.000 0.000
Te 7.718 0.000 4.940
Te 4.376 -3.357 2.470
Te 11.059 -3.357 2.470
Cl 0.000 0.000 0.000
Cl 0.000 0.000 4.940
```

Most intense lines, 2θ = 5–70°, in order of rising 2θ:
Position (°2θ), I/Imax
14.72, 24
22.90, 23
23.29, 26
26.08, 32
28.69, 35
29.68, 31
31.25, 19
33.00, 100
36.38, 19
37.90, 23



Record 8
# Sr2BeH6
Calculated X-ray diffraction stick pattern, λ = 1.5418 Å (Cu Kα). Input: the PBE geometry in Alexandria.
Lines closer than 0.1° are merged.

Atomic structure:
```
18
Lattice="4.925 0.000 0.000 0.000 4.925 0.000 0.000 0.000 9.981" Properties=species:S:1:pos:R:3 pbc="T T T"
Sr 0.000 0.000 1.656
Sr 0.000 0.000 8.326
Sr 2.463 2.463 3.335
Sr 2.463 2.463 6.646
Be 0.000 0.000 4.991
Be 2.463 2.463 0.000
H 0.807 0.807 3.743
H 0.807 0.807 6.238
H 1.203 3.723 4.991
H 1.260 1.260 0.000
H 1.655 3.270 1.248
H 1.655 3.270 8.734
H 3.270 1.655 1.248
H 3.270 1.655 8.734
H 3.665 3.665 0.000
H 3.723 1.203 4.991
H 4.118 4.118 3.743
H 4.118 4.118 6.238
```

Most intense lines, 2θ = 5–70°, in order of rising 2θ:
Position (°2θ), I/Imax
17.77, 19
20.10, 63
25.58, 97
31.32, 22
32.47, 100
36.49, 35
42.01, 21
49.64, 61
59.34, 17
61.80, 16